Simulated X-ray diffraction stick pattern
Compound: Ce2PmTlOs
Radiation: Cu Kα
Structure: a DFT-relaxed cell (GGA-PBE, Alexandria)

Most intense lines, 10° ≤ 2θ ≤ 80°, in order of rising 2θ:
2θ (°), I_rel
22.90, 46
28.55, 93
31.14, 63
34.01, 100
46.78, 82
59.09, 41

Cell and atoms:
abc: 5.272 5.272 5.744
angles: 90.00 90.00 90.00
Element x y z (fractional)
Ce 0.000 0.500 0.000
Ce 0.500 0.000 0.000
Pm 0.000 0.000 0.500
Tl 0.500 0.500 0.502
Os 0.000 0.000 0.000